Starting from a DFT-relaxed cell (PBE, Alexandria), the powder diffractogram of PmY5Ho2Tm was simulated for Cu Kα (λ = 1.5418 Å).

Cell and atoms:
a b c (Å): 5.6119 20.1714 10.4792
angles (deg): 90.00 90.00 90.00
Space group Cmc2_1 (No. 36)
One atom of each set of equivalent atoms:
Pm  0.0000  0.1961  0.0000 x4
Y  0.0000  0.0161  0.0075 x4
Y  0.0000  0.2774  0.3006 x4
Y  0.0000  0.3018  0.6903 x4
Y  0.0000  0.3880  0.0103 x4
Y  0.0000  0.4792  0.7237 x4
Ho  0.0000  0.1109  0.7215 x4
Ho  0.0000  0.1123  0.3037 x4
Tm  0.0000  0.4116  0.4373 x4

Largest 6 diffraction maxima, by angle, 2θ from 5° to 70°:
Position (°2θ)	I_rel	index
27.87	14	0 6 1
30.47	36	1 1 3
31.89	40	2 0 0
32.23	100	1 5 2
57.04	19	3 5 2
61.75	12	2 6 5